For LiLa4FeO8, a PBE+U-relaxed structure gives the computed powder XRD pattern in this record (Cu Kα X-rays).
Peak positions follow from Bragg's law for the DFT cell and can differ from measured ones.

Main lines, in order of rising 2θ (5° ≤ 2θ ≤ 70°):
Position (°2θ), I (rel.)
24.36, 633
28.23, 270
31.62, 1000
33.19, 787
42.90, 320
44.11, 559
47.64, 405
56.32, 358
58.26, 183
58.37, 241
66.03, 203
68.83, 95

Crystal structure
abc: 5.3923 12.6459 5.4051
angles: 90.00 90.00 90.00
Space group Cmmm (No. 65)
Symmetry-distinct sites (fractional):
Li1 0.0000 0.0000 0.0000 x2
La1 0.0000 0.1362 0.5000 x4
La2 0.0000 0.3637 0.0000 x4
Fe1 0.0000 0.5000 0.5000 x2
O1 0.0000 0.1824 0.0000 x4
O2 0.0000 0.3312 0.5000 x4
O3 0.2501 0.0000 0.2559 x8